Theoretical X-ray powder pattern of LiCo5SbO8 for Cu Kα (weighted mean of Kα1 and Kα2), from the GGA+U geometry in the Materials Project.
Kinematic intensities with the Lorentz-polarization factor, no thermal factor.

The 8 most intense peaks (5 to 70 degrees two-theta), by angle:
d [Å]  I_rel
5.067  83
3.088  62
2.725  43
2.667  100
2.659  50
2.218  36
1.588  36
1.544  49

Structure:
a b c (Å): 6.1738 6.1738 6.3745
angles (deg): 119.13 119.13 60.09
Fractional positions:
Li: 0.0000 0.0000 0.0000
Co: 0.2297 0.2297 0.6886
Co: 0.3990 0.8477 0.0951
Co: 0.4973 0.4973 0.4921
Co: 0.8477 0.3990 0.0951
Co: 0.8499 0.8499 0.0990
Sb: 0.8586 0.8586 0.5769
O: 0.0882 0.6320 0.3535
O: 0.0933 0.0933 0.8305
O: 0.0936 0.6437 0.8298
O: 0.1048 0.1048 0.3162
O: 0.6242 0.6242 0.8714
O: 0.6320 0.0882 0.3535
O: 0.6316 0.6316 0.3518
O: 0.6437 0.0936 0.8298

Theoretical X-ray powder pattern of Li4Co3Sb5O16 for Cu Kα (weighted mean of Kα1 and Kα2), from the GGA+U geometry in the Materials Project.
Kinematic intensities with the Lorentz-polarization factor, no thermal factor.

The 8 most intense peaks (5 to 70 degrees two-theta), by angle:
d [Å]  I_rel
5.225  57
4.785  100
3.752  32
2.918  37
2.668  34
2.610  37
2.601  44
1.647  31

Structure:
a b c (Å): 6.2001 10.7576 12.1318
angles (deg): 63.84 75.25 89.72
Fractional positions:
Li: 0.0000 0.0000 0.0000
Li: 0.0403 0.7223 0.8721
Li: 0.2405 0.2496 0.4760
Li: 0.2937 0.6290 0.3916
Li: 0.4981 0.5018 0.9942
Li: 0.5559 0.2345 0.8480
Li: 0.7421 0.7610 0.4777
Li: 0.7885 0.1370 0.3947
Co: 0.1455 0.4817 0.2094
Co: 0.3878 0.5585 0.7016
Co: 0.3971 0.2247 0.2168
Co: 0.6419 0.9770 0.2188
Co: 0.8780 0.0598 0.7049
Co: 0.8995 0.7255 0.2105
Sb: 0.0105 0.3296 0.0146
Sb: 0.1381 0.3103 0.7003
Sb: 0.1432 0.9729 0.2257
Sb: 0.2740 0.9337 0.4767
Sb: 0.3858 0.0570 0.7057
Sb: 0.5102 0.8328 0.0147
Sb: 0.6427 0.8175 0.7012
Sb: 0.6501 0.4790 0.2129
Sb: 0.7790 0.4398 0.4640
Sb: 0.8992 0.5632 0.6995
O: 0.0544 0.5719 0.3372
O: 0.0835 0.5869 0.7987
O: 0.0929 0.0574 0.3557
O: 0.0941 0.0905 0.8095
O: 0.1809 0.5256 0.5916
O: 0.2023 0.8748 0.1124
O: 0.2044 0.0374 0.5866
O: 0.2192 0.3709 0.0978
O: 0.3082 0.8401 0.3576
O: 0.3209 0.3446 0.7965
O: 0.3452 0.8459 0.8005
O: 0.3615 0.3524 0.3024
O: 0.4082 0.2620 0.5923
O: 0.4268 0.0993 0.1280
O: 0.4657 0.7924 0.5846
O: 0.4681 0.6096 0.1010
O: 0.5435 0.0640 0.3526
O: 0.5719 0.0810 0.8052
O: 0.5998 0.5719 0.3304
O: 0.6026 0.6056 0.8011
O: 0.6748 0.0285 0.5946
O: 0.7012 0.3742 0.1037
O: 0.7082 0.5661 0.5915
O: 0.7165 0.8748 0.0997
O: 0.8170 0.8462 0.8029
O: 0.8217 0.3487 0.3340
O: 0.8471 0.3508 0.7976
O: 0.8556 0.8499 0.3069
O: 0.9343 0.6079 0.1077
O: 0.9416 0.7900 0.5849
O: 0.9647 0.1081 0.1145
O: 0.9762 0.2717 0.5946

Theoretical X-ray powder pattern of LiCo5SbO8 for Cu Kα (weighted mean of Kα1 and Kα2), from the GGA+U geometry in the Materials Project.
Kinematic intensities with the Lorentz-polarization factor, no thermal factor.

The 8 most intense peaks (5 to 70 degrees two-theta), by angle:
d [Å]  I_rel
4.909  46
2.980  33
2.709  25
2.598  100
2.165  42
1.636  24
1.576  23
1.490  31

Structure:
a b c (Å): 5.9594 5.9594 6.3287
angles (deg): 118.17 118.17 59.99
Fractional positions:
Li: 0.0000 0.0000 0.0000
Co: 0.0000 0.5000 0.0000
Co: 0.1537 0.1537 0.4595
Co: 0.5000 0.0000 0.0000
Co: 0.5000 0.5000 0.0000
Co: 0.8463 0.8463 0.5405
Sb: 0.5000 0.5000 0.5000
O: 0.2589 0.7355 0.7303
O: 0.2640 0.2640 0.2686
O: 0.2645 0.7411 0.2697
O: 0.2722 0.2722 0.8167
O: 0.7278 0.7278 0.1833
O: 0.7355 0.2589 0.7303
O: 0.7360 0.7360 0.7314
O: 0.7411 0.2645 0.2697

Theoretical X-ray powder pattern of LiCo5SbO8 for Cu Kα (weighted mean of Kα1 and Kα2), from the GGA+U geometry in the Materials Project.
Kinematic intensities with the Lorentz-polarization factor, no thermal factor.

The 8 most intense peaks (5 to 70 degrees two-theta), by angle:
d [Å]  I_rel
5.082  33
5.078  34
3.133  33
2.719  41
2.632  37
2.624  100
2.167  31
1.670  35

Structure:
a b c (Å): 6.2746 6.2746 6.1439
angles (deg): 119.03 119.03 58.33
Fractional positions:
Li: 0.0000 0.0000 0.0000
Co: 0.2526 0.2526 0.2756
Co: 0.3351 0.8485 0.6511
Co: 0.4649 0.4649 0.0305
Co: 0.7860 0.7860 0.5796
Co: 0.8485 0.3351 0.6511
Sb: 0.8356 0.8356 0.1500
O: 0.0580 0.6225 0.8993
O: 0.0625 0.0625 0.3658
O: 0.0672 0.6298 0.4075
O: 0.1195 0.1195 0.8931
O: 0.5746 0.5746 0.4160
O: 0.6143 0.6143 0.9201
O: 0.6225 0.0580 0.8993
O: 0.6298 0.0672 0.4075

Theoretical X-ray powder pattern of Li3Co2SbO6 for Cu Kα (weighted mean of Kα1 and Kα2), from the GGA+U geometry in the Materials Project.
Kinematic intensities with the Lorentz-polarization factor, no thermal factor.

The 8 most intense peaks (5 to 70 degrees two-theta), by angle:
d [Å]  I_rel
5.031  100
2.605  30
2.491  13
2.465  14
2.186  45
2.063  18
1.958  13
1.515  12

Structure:
a b c (Å): 6.6041 6.6041 6.2205
angles (deg): 105.11 105.11 26.92
Fractional positions:
Li: 0.0000 0.0000 0.0000
Li: 0.3243 0.3243 0.6838
Li: 0.6757 0.6757 0.3162
Co: 0.3177 0.3177 0.1276
Co: 0.6823 0.6823 0.8724
Sb: 0.0000 0.0000 0.5000
O: 0.1576 0.1576 0.5982
O: 0.1599 0.1599 0.0831
O: 0.4992 0.4992 0.7221
O: 0.5008 0.5008 0.2779
O: 0.8401 0.8401 0.9169
O: 0.8424 0.8424 0.4018

Theoretical X-ray powder pattern of LiCo5SbO8 for Cu Kα (weighted mean of Kα1 and Kα2), from the GGA+U geometry in the Materials Project.
Kinematic intensities with the Lorentz-polarization factor, no thermal factor.

The 8 most intense peaks (5 to 70 degrees two-theta), by angle:
d [Å]  I_rel
4.911  72
2.689  53
2.647  67
2.620  100
2.560  63
2.168  52
1.700  43
1.524  42

Structure:
a b c (Å): 6.1010 6.1010 6.3583
angles (deg): 119.91 119.91 58.18
Fractional positions:
Li: 0.0000 0.0000 0.0000
Co: 0.0000 0.5000 0.0000
Co: 0.1628 0.1628 0.4319
Co: 0.5000 0.0000 0.0000
Co: 0.5000 0.5000 0.5000
Co: 0.8372 0.8372 0.5681
Sb: 0.5000 0.5000 0.0000
O: 0.2569 0.7380 0.7697
O: 0.2621 0.2621 0.2472
O: 0.2620 0.7431 0.2303
O: 0.2722 0.2722 0.8013
O: 0.7278 0.7278 0.1987
O: 0.7380 0.2569 0.7697
O: 0.7379 0.7379 0.7528
O: 0.7431 0.2620 0.2303

Theoretical X-ray powder pattern of Li4Co3Sb5O16 for Cu Kα (weighted mean of Kα1 and Kα2), from the GGA+U geometry in the Materials Project.
Kinematic intensities with the Lorentz-polarization factor, no thermal factor.

The 8 most intense peaks (5 to 70 degrees two-theta), by angle:
d [Å]  I_rel
5.219  50
4.780  100
3.746  48
2.921  50
2.671  40
2.611  40
2.600  43
2.125  28

Structure:
a b c (Å): 6.1899 10.7884 12.1466
angles (deg): 116.33 104.75 90.02
Fractional positions:
Li: 0.0000 0.0000 0.0000
Li: 0.0378 0.3553 0.0756
Li: 0.2188 0.8844 0.4371
Li: 0.2986 0.6464 0.5972
Li: 0.4943 0.4992 0.9888
Li: 0.5405 0.8856 0.0813
Li: 0.7432 0.4065 0.4865
Li: 0.8004 0.1427 0.6006
Co: 0.1514 0.6680 0.8103
Co: 0.1542 0.3209 0.3081
Co: 0.1644 0.1752 0.8213
Co: 0.6498 0.8228 0.2991
Co: 0.6566 0.1752 0.8212
Co: 0.6591 0.6682 0.8105
Sb: 0.0328 0.7207 0.0655
Sb: 0.3077 0.3316 0.6150
Sb: 0.4010 0.0823 0.3074
Sb: 0.4039 0.5691 0.2993
Sb: 0.4132 0.9294 0.8267
Sb: 0.5399 0.2225 0.0802
Sb: 0.8091 0.8350 0.6181
Sb: 0.8954 0.5689 0.2991
Sb: 0.9059 0.0827 0.3075
Sb: 0.9075 0.4245 0.8151
O: 0.0889 0.2880 0.7078
O: 0.0934 0.5581 0.1863
O: 0.0994 0.1005 0.1990
O: 0.1204 0.7974 0.7111
O: 0.1882 0.5645 0.9331
O: 0.2018 0.0497 0.4044
O: 0.2016 0.5422 0.4035
O: 0.2624 0.0750 0.9586
O: 0.3425 0.3512 0.1874
O: 0.3485 0.5409 0.6961
O: 0.3655 0.0386 0.7310
O: 0.3764 0.8811 0.1957
O: 0.4450 0.2851 0.4089
O: 0.4534 0.8051 0.9070
O: 0.4558 0.7724 0.3934
O: 0.4783 0.2999 0.9565
O: 0.5902 0.7971 0.7110
O: 0.5946 0.1074 0.1893
O: 0.5949 0.5863 0.1897
O: 0.6194 0.2876 0.7074
O: 0.6958 0.0754 0.9588
O: 0.7002 0.5409 0.4002
O: 0.7049 0.0595 0.4108
O: 0.7445 0.5646 0.9329
O: 0.8192 0.8816 0.1956
O: 0.8451 0.3510 0.1875
O: 0.8533 0.0418 0.7056
O: 0.8529 0.5238 0.7069
O: 0.9388 0.7720 0.3926
O: 0.9527 0.3074 0.9063
O: 0.9641 0.2855 0.4090
O: 0.9706 0.7965 0.9382

Theoretical X-ray powder pattern of Li4Ti3Co3Sb2O16 for Cu Kα (weighted mean of Kα1 and Kα2), from the GGA+U geometry in the Materials Project.
Kinematic intensities with the Lorentz-polarization factor, no thermal factor.

The 8 most intense peaks (5 to 70 degrees two-theta), by angle:
d [Å]  I_rel
4.650  34
4.590  100
4.562  69
2.743  37
2.582  32
2.545  75
2.514  30
1.507  31

Structure:
a b c (Å): 6.0282 6.0282 9.7563
angles (deg): 90.92 90.92 59.35
Fractional positions:
Li: 0.0000 0.0000 0.0000
Li: 0.0100 0.0100 0.5151
Li: 0.3415 0.3415 0.5976
Li: 0.6701 0.6701 0.0882
Ti: 0.1672 0.6619 0.2802
Ti: 0.6619 0.1672 0.2802
Ti: 0.8279 0.8279 0.7762
Co: 0.1751 0.1751 0.2856
Co: 0.3478 0.8293 0.7846
Co: 0.8293 0.3478 0.7846
Sb: 0.3298 0.3298 0.0020
Sb: 0.6621 0.6621 0.5105
O: 0.0433 0.4972 0.1534
O: 0.1623 0.1623 0.9119
O: 0.1621 0.6589 0.9003
O: 0.3333 0.8291 0.3954
O: 0.3523 0.3523 0.3893
O: 0.4807 0.4807 0.1557
O: 0.4972 0.0433 0.1534
O: 0.5214 0.5214 0.6430
O: 0.5328 0.9683 0.6404
O: 0.6589 0.1621 0.9003
O: 0.6842 0.6842 0.8918
O: 0.8291 0.3333 0.3954
O: 0.8315 0.8315 0.3892
O: 0.9683 0.5328 0.6404
O: 0.9935 0.9935 0.7002
O: 0.9952 0.9952 0.1926

Theoretical X-ray powder pattern of Li4V3Co2Sb3O16 for Cu Kα (weighted mean of Kα1 and Kα2), from the GGA+U geometry in the Materials Project.
Kinematic intensities with the Lorentz-polarization factor, no thermal factor.

The 8 most intense peaks (5 to 70 degrees two-theta), by angle:
d [Å]  I_rel
4.930  100
4.695  69
4.671  30
2.602  35
2.572  40
2.564  46
2.062  31
1.536  41

Structure:
a b c (Å): 6.1450 6.1450 9.8609
angles (deg): 90.44 90.44 59.93
Fractional positions:
Li: 0.0000 0.0000 0.0000
Li: 0.0030 0.0030 0.5140
Li: 0.3278 0.3278 0.6273
Li: 0.6644 0.6644 0.1048
V: 0.1604 0.1604 0.2886
V: 0.3288 0.8211 0.7900
V: 0.8211 0.3288 0.7900
Co: 0.3194 0.3194 0.9857
Co: 0.6487 0.6487 0.5287
Sb: 0.1605 0.6545 0.2896
Sb: 0.6545 0.1605 0.2896
Sb: 0.8217 0.8217 0.7897
O: 0.0238 0.4796 0.1795
O: 0.1461 0.6770 0.9032
O: 0.1495 0.1495 0.8970
O: 0.3020 0.8333 0.3972
O: 0.3305 0.3305 0.4035
O: 0.4782 0.4782 0.1741
O: 0.4796 0.0238 0.1795
O: 0.5097 0.5097 0.6735
O: 0.5113 0.9576 0.6699
O: 0.6646 0.6646 0.9029
O: 0.6770 0.1461 0.9032
O: 0.8333 0.3020 0.3972
O: 0.8381 0.8381 0.4028
O: 0.9576 0.5113 0.6699
O: 0.9853 0.9853 0.6917
O: 0.9874 0.9874 0.1842